Simulated X-ray powder pattern of La2Nd7Sm2 for CuKα, from DFT lattice parameters and positions (GGA-PBE).
Peak positions follow from Bragg's law for the DFT cell and can differ from measured ones.

Top 10 peaks for 2θ = 10–90°, low angle first:
2θ/deg	intensity
28.82	38.4
29.86	100.0
30.18	37.8
30.99	56.4
31.50	27.1
33.49	22.4
33.90	11.8
38.22	12.1
45.47	12.4
53.61	12.4

Crystal structure
```
data_La2Nd7Sm2
_chemical_formula_sum 'La4 Nd14 Sm4'
_space_group_name_H-M_alt 'P 1'
_space_group_IT_number 1
_cell_length_a 9.712
_cell_length_b 9.712
_cell_length_c 11.903
_cell_angle_alpha 123.02
_cell_angle_beta 123.02
_cell_angle_gamma 65.37
loop_
_space_group_symop_operation_xyz
'x,y,z'
loop_
_atom_site_label
_atom_site_type_symbol
_atom_site_fract_x
_atom_site_fract_y
_atom_site_fract_z
La1 La 0.174 0.725 0.846
La2 La 0.275 0.826 0.654
La3 La 0.725 0.174 0.346
La4 La 0.826 0.275 0.154
Nd1 Nd 0.075 0.477 0.898
Nd2 Nd 0.111 0.889 0.250
Nd3 Nd 0.184 0.415 0.467
Nd4 Nd 0.368 0.506 0.329
Nd5 Nd 0.415 0.184 0.967
Nd6 Nd 0.477 0.075 0.398
Nd7 Nd 0.494 0.632 0.171
Nd8 Nd 0.506 0.368 0.829
Nd9 Nd 0.523 0.925 0.602
Nd10 Nd 0.585 0.816 0.033
Nd11 Nd 0.632 0.494 0.671
Nd12 Nd 0.816 0.585 0.533
Nd13 Nd 0.889 0.111 0.750
Nd14 Nd 0.925 0.523 0.102
Sm1 Sm 0.125 0.192 0.593
Sm2 Sm 0.192 0.125 0.093
Sm3 Sm 0.808 0.875 0.907
Sm4 Sm 0.875 0.808 0.407
```